Computed XRD peak list of SrCe4Se8 for Cu Kα, from a PBE-relaxed structure.

a = 8.4468 Å, b = 8.4468 Å, c = 10.2632 Å
α = 126.45°, β = 126.45°, γ = 61.32°
Element x y z (fractional)
Sr 0.0000 0.0000 0.0000
Ce 0.2549 0.7451 0.5000
Ce 0.2766 0.2766 0.0030
Ce 0.7234 0.7234 0.9970
Ce 0.7451 0.2549 0.5000
Se 0.0009 0.0009 0.3105
Se 0.0008 0.4558 0.1676
Se 0.4558 0.0008 0.1676
Se 0.4665 0.4665 0.6560
Se 0.5335 0.5335 0.3440
Se 0.5442 0.9992 0.8324
Se 0.9992 0.5442 0.8324
Se 0.9991 0.9991 0.6895

Principal peaks in the range 10° ≤ 2θ ≤ 80°, in order of rising 2θ:
| Position (°2θ) | I (rel.) |
| --- | --- |
| 12.18 | 100.0 |
| 23.91 | 18.2 |
| 26.72 | 34.4 |
| 27.03 | 68.4 |
| 34.13 | 28.2 |
| 34.27 | 14.9 |
| 34.70 | 53.9 |
| 41.95 | 19.0 |
| 42.12 | 38.7 |
| 43.79 | 17.3 |
| 44.38 | 18.2 |
| 45.20 | 14.4 |

Computed XRD peak list of Tl2In6Hg5 for Cu Kα, from a PBE-relaxed structure.

a = 5.9839 Å, b = 7.3983 Å, c = 8.7206 Å
α = 73.05°, β = 86.09°, γ = 82.18°
Element x y z (fractional)
Tl 0.0387 0.2778 0.1229
Tl 0.9613 0.7222 0.8771
In 0.4153 0.2251 0.4262
In 0.4233 0.0055 0.8216
In 0.4950 0.4023 0.8710
In 0.5050 0.5977 0.1290
In 0.5767 0.9945 0.1784
In 0.5847 0.7749 0.5738
Hg 0.0000 0.0000 0.5000
Hg 0.0700 0.8085 0.2119
Hg 0.1985 0.5406 0.5767
Hg 0.8015 0.4594 0.4233
Hg 0.9300 0.1915 0.7881

Principal peaks in the range 10° ≤ 2θ ≤ 80°, in order of rising 2θ:
| Position (°2θ) | I (rel.) |
| --- | --- |
| 14.95 | 37.2 |
| 30.17 | 62.0 |
| 30.62 | 52.4 |
| 31.04 | 46.8 |
| 31.59 | 48.0 |
| 32.19 | 100.0 |
| 32.65 | 99.1 |
| 33.46 | 31.5 |
| 33.80 | 64.5 |
| 35.21 | 42.0 |
| 39.26 | 43.0 |
| 45.41 | 35.6 |

Computed XRD peak list of CeY5Te6 for Cu Kα, from a PBE-relaxed structure.

a = 7.5953 Å, b = 7.5953 Å, c = 7.6280 Å
α = 99.59°, β = 99.59°, γ = 120.26°
Element x y z (fractional)
Ce 0.0000 0.0000 0.0000
Y 0.1641 0.8359 0.5000
Y 0.3316 0.6684 0.0000
Y 0.5000 0.5000 0.5000
Y 0.6684 0.3316 0.0000
Y 0.8359 0.1641 0.5000
Te 0.0853 0.4241 0.2546
Te 0.2566 0.2566 0.7493
Te 0.4241 0.0853 0.2546
Te 0.5759 0.9147 0.7454
Te 0.7434 0.7434 0.2507
Te 0.9147 0.5759 0.7454

Principal peaks in the range 10° ≤ 2θ ≤ 80°, in order of rising 2θ:
| Position (°2θ) | I (rel.) |
| --- | --- |
| 28.78 | 100.0 |
| 41.05 | 37.7 |
| 41.26 | 37.1 |
| 50.80 | 6.7 |
| 50.96 | 13.3 |
| 51.25 | 6.5 |
| 59.61 | 12.3 |
| 67.33 | 11.3 |
| 67.71 | 11.0 |
| 74.82 | 8.2 |
| 75.00 | 8.2 |
| 75.35 | 6.0 |